No. 1
Theoretical powder diffraction line list of Cd2BRh2 for Cu Kα X-rays, from a cell relaxed with GGA-PBE.

```
Cd2BRh2
1.0
1.553 0.897 9.396
-1.553 0.897 9.396
0.000 -1.794 9.396
Cd B Rh
2 1 2
direct
0.120 0.120 0.120
0.880 0.880 0.880
0.000 0.000 0.000
0.374 0.374 0.374
0.626 0.626 0.626
```

Top 12 peaks for 10° ≤ 2θ ≤ 90°, sorted by position:
- 28.50°, I 2
- 35.72°, I 100
- 38.32°, I 25
- 42.26°, I 65
- 59.51°, I 23
- 63.08°, I 17
- 71.38°, I 13
- 72.80°, I 1
- 73.02°, I 22
- 75.67°, I 11
- 76.27°, I 8
- 82.05°, I 2

***

No. 2
Theoretical powder diffraction line list of AcIn3F8 for Cu Kα X-rays, from a cell relaxed with GGA-PBE.

```
AcIn3F8
1.0
5.157 0.000 0.000
-2.579 4.466 0.000
0.000 0.000 8.493
Ac In F
1 3 8
direct
0.000 0.000 0.000
0.000 0.000 0.500
0.333 0.667 0.309
0.667 0.333 0.691
0.061 0.320 0.754
0.259 0.939 0.754
0.320 0.259 0.246
0.333 0.667 0.052
0.667 0.333 0.948
0.680 0.741 0.754
0.741 0.061 0.246
0.939 0.680 0.246
```

Top 12 peaks for 10° ≤ 2θ ≤ 90°, sorted by position:
- 19.88°, I 36
- 22.49°, I 55
- 29.01°, I 100
- 34.79°, I 59
- 40.95°, I 14
- 41.83°, I 18
- 45.92°, I 36
- 47.41°, I 27
- 47.71°, I 19
- 58.87°, I 31
- 62.37°, I 15
- 71.38°, I 14

***

> Number 2 is which compound?

AcIn3F8